Starting from a DFT-relaxed cell (PBE, Alexandria), the XRD peak list of Tm5PdPb4 was calculated for Cu Kα X-rays.

Structural model:
a b c (Å): 7.4532 7.4532 7.4532
angles (deg): 100.03 100.03 130.68
Fractional coordinates of all 10 atoms:
Tm  0.0000  0.0000  0.0000
Tm  0.1103  0.4783  0.8252
Tm  0.2851  0.1103  0.6319
Tm  0.4783  0.6532  0.3681
Tm  0.6532  0.2851  0.1748
Pd  0.4941  0.4941  0.0000
Pb  0.1804  0.7939  0.2196
Pb  0.5742  0.9608  0.7804
Pb  0.7939  0.5742  0.6135
Pb  0.9608  0.1804  0.3865

Main lines, low angle first (2θ = 15–90°):
2θ/deg  I (rel.)
28.7  43
29.5  100
39.3  11
41.6  68
42.2  34
51.8  30
61.2  13
67.7  13
69.4  12
76.7  13

---

Starting from a DFT-relaxed cell (PBE, Alexandria), the XRD peak list of K9I3O2 was calculated for Cu Kα X-rays.

Structural model:
a b c (Å): 7.8923 7.8923 9.9173
angles (deg): 90.00 90.00 120.00
Fractional coordinates of all 14 atoms:
K  0.0000  0.5000  0.0000
K  0.1774  0.3547  0.6899
K  0.1774  0.8226  0.6899
K  0.3547  0.1774  0.3101
K  0.5000  0.0000  0.0000
K  0.5000  0.5000  0.0000
K  0.6453  0.8226  0.6899
K  0.8226  0.1774  0.3101
K  0.8226  0.6453  0.3101
I  0.0000  0.0000  0.0000
I  0.3333  0.6667  0.3037
I  0.6667  0.3333  0.6963
O  0.3333  0.6667  0.8389
O  0.6667  0.3333  0.1611

Main lines, low angle first (2θ = 15–90°):
2θ/deg  I (rel.)
15.7  32
22.1  28
22.5  28
27.0  30
27.6  100
31.8  80
45.2  24
46.0  27
53.4  14
54.1  23

---

Starting from a DFT-relaxed cell (PBE, Alexandria), the XRD peak list of Cs3InBi2 was calculated for Cu Kα X-rays.

Structural model:
a b c (Å): 10.3870 10.3870 10.3870
angles (deg): 126.04 73.09 134.62
Fractional coordinates of all 12 atoms:
Cs  0.1730  0.6966  0.8696
Cs  0.2500  0.2500  0.0000
Cs  0.3270  0.1966  0.5236
Cs  0.6730  0.8034  0.4764
Cs  0.7500  0.7500  0.0000
Cs  0.8270  0.3034  0.1304
In  0.2500  0.7500  0.5000
In  0.7500  0.2500  0.5000
Bi  0.0929  0.3173  0.4102
Bi  0.4071  0.8173  0.2244
Bi  0.5929  0.1827  0.7756
Bi  0.9071  0.6827  0.5898

Main lines, low angle first (2θ = 15–90°):
2θ/deg  I (rel.)
24.7  29
25.9  100
27.2  36
28.6  40
28.9  30
29.3  77
30.9  50
36.8  28
41.3  29
46.0  33

---

Starting from a DFT-relaxed cell (PBE, Alexandria), the XRD peak list of Sr2MnSn2 was calculated for Cu Kα X-rays.

Structural model:
a b c (Å): 7.5853 7.5853 5.2372
angles (deg): 90.00 90.00 90.00
Fractional coordinates of all 10 atoms:
Sr  0.1685  0.3315  0.0000
Sr  0.3315  0.8315  0.0000
Sr  0.6685  0.1685  0.0000
Sr  0.8315  0.6685  0.0000
Mn  0.0000  0.0000  0.5000
Mn  0.5000  0.5000  0.5000
Sn  0.1411  0.6411  0.5000
Sn  0.3589  0.1411  0.5000
Sn  0.6411  0.8589  0.5000
Sn  0.8589  0.3589  0.5000

Main lines, low angle first (2θ = 15–90°):
2θ/deg  I (rel.)
16.5  8
16.9  8
31.4  100
34.2  23
37.5  24
51.7  19
52.7  10
59.6  16
69.0  14
89.4  7

---

Starting from a DFT-relaxed cell (PBE, Alexandria), the XRD peak list of Ca5La was calculated for Cu Kα X-rays.

Structural model:
a b c (Å): 3.8355 3.8355 19.3647
angles (deg): 90.00 90.00 120.00
Fractional coordinates of all 6 atoms:
Ca  0.0000  0.0000  0.0000
Ca  0.0000  0.0000  0.3369
Ca  0.0000  0.0000  0.6631
Ca  0.3333  0.6667  0.1685
Ca  0.3333  0.6667  0.8315
La  0.3333  0.6667  0.5000

Main lines, low angle first (2θ = 15–90°):
2θ/deg  I (rel.)
26.8  27
27.2  12
27.6  28
30.3  100
38.9  20
47.4  18
50.5  22
55.8  21
57.3  15
77.4  12

---

Starting from a DFT-relaxed cell (PBE, Alexandria), the XRD peak list of U3PS2 was calculated for Cu Kα X-rays.

Structural model:
a b c (Å): 3.9393 5.4949 11.4764
angles (deg): 90.00 90.00 90.00
Fractional coordinates of all 12 atoms:
U  0.0000  0.0000  0.0000
U  0.0000  0.0000  0.3324
U  0.0000  0.0000  0.6676
U  0.5000  0.5000  0.1676
U  0.5000  0.5000  0.5000
U  0.5000  0.5000  0.8324
P  0.0000  0.5000  0.0000
P  0.5000  0.0000  0.5000
S  0.0000  0.5000  0.3346
S  0.0000  0.5000  0.6654
S  0.5000  0.0000  0.1654
S  0.5000  0.0000  0.8346

Main lines, low angle first (2θ = 15–90°):
2θ/deg  I (rel.)
27.9  55
28.4  52
32.6  100
46.1  13
46.8  49
55.0  18
56.0  17
57.6  13
58.8  13
77.8  24